Starting from a crystal structure in Alexandria, relaxed with PBE, the XRD peak list of Se3BrCl2 was computed for λ = 1.5418 Å (Cu Kα).

Structure:
```
data_Se3BrCl2
_cell_length_a 9.704
_cell_length_b 9.704
_cell_length_c 5.378
_cell_angle_alpha 90.00
_cell_angle_beta 90.00
_cell_angle_gamma 56.73
_symmetry_space_group_name_H-M 'P 1'
_symmetry_Int_Tables_number 1
loop_
_symmetry_equiv_pos_as_xyz
'x,y,z'
loop_
_atom_site_label
_atom_site_type_symbol
_atom_site_fract_x
_atom_site_fract_y
_atom_site_fract_z
_atom_site_occupancy
Se1 Se 0.005 0.995 0.500 1
Se2 Se 0.357 0.368 0.000 1
Se3 Se 0.368 0.357 0.500 1
Se4 Se 0.632 0.643 0.000 1
Se5 Se 0.643 0.632 0.500 1
Se6 Se 0.995 0.005 0.000 1
Br1 Br 0.261 0.739 0.499 1
Br2 Br 0.739 0.261 0.999 1
Cl1 Cl 0.097 0.570 0.999 1
Cl2 Cl 0.430 0.903 0.999 1
Cl3 Cl 0.570 0.097 0.499 1
Cl4 Cl 0.903 0.430 0.499 1
```

Peak list (10 most intense, 5° ≤ 2θ ≤ 70°, in order of rising 2θ)
- 2θ = 10.36°, rel. 35.2
- 2θ = 18.32°, rel. 100.0
- 2θ = 24.74°, rel. 55.2
- 2θ = 31.43°, rel. 26.2
- 2θ = 33.13°, rel. 22.4
- 2θ = 33.32°, rel. 36.2
- 2θ = 38.28°, rel. 29.7
- 2θ = 39.08°, rel. 21.8
- 2θ = 46.46°, rel. 16.7
- 2θ = 52.27°, rel. 18.7